(1)
BaBiBO4: calculated PXRD pattern (Cu Ka), based on a PBE-relaxed structure.
Lines closer than 0.1° are merged.

Structural model:
Unit cell a=8.817 b=5.202 c=9.864 alpha=90.00 beta=90.00 gamma=90.00
Space group Pnma (No. 62)
Asymmetric unit:
1 Ba 0.008 0.250 0.183 (multiplicity 4)
2 Bi 0.195 0.250 0.561 (multiplicity 4)
3 B 0.200 0.750 0.444 (multiplicity 4)
4 O 0.075 0.750 0.084 (multiplicity 4)
5 O 0.188 0.750 0.585 (multiplicity 4)
6 O 0.206 0.513 0.377 (multiplicity 8)

Top 6 peaks for 5° ≤ 2θ ≤ 70°, low angle first:
| 2θ/deg | I_rel | hkl |
| --- | --- | --- |
| 21.79 | 100 | 1 1 1 |
| 26.88 | 41 | 1 1 2 |
| 27.13 | 52 | 2 0 2 |
| 28.03 | 65 | 2 1 1 |
| 31.77 | 53 | 3 0 1 |
| 32.21 | 51 | 0 1 3 |

(2)
SrH6C2O6: calculated PXRD pattern (Cu Ka), based on a PBE-relaxed structure.
Lines closer than 0.1° are merged.

Structural model:
Unit cell a=7.212 b=7.467 c=12.212 alpha=90.00 beta=90.00 gamma=90.00
Space group P2_12_12_1 (No. 19)
Asymmetric unit:
1 Sr 0.193 0.244 0.428 (multiplicity 4)
2 H 0.028 0.702 0.422 (multiplicity 4)
3 H 0.031 0.455 0.929 (multiplicity 4)
4 H 0.089 0.059 0.658 (multiplicity 4)
5 H 0.129 0.954 0.256 (multiplicity 4)
6 H 0.133 0.486 0.690 (multiplicity 4)
7 H 0.204 0.113 0.833 (multiplicity 4)
8 C 0.044 0.141 0.007 (multiplicity 4)
9 C 0.213 0.524 0.187 (multiplicity 4)
10 O 0.015 0.079 0.590 (multiplicity 4)
11 O 0.051 0.971 0.003 (multiplicity 4)
12 O 0.112 0.246 0.936 (multiplicity 4)
13 O 0.122 0.437 0.259 (multiplicity 4)
14 O 0.144 0.620 0.112 (multiplicity 4)
15 O 0.242 0.017 0.780 (multiplicity 4)

Top 6 peaks for 5° ≤ 2θ ≤ 70°, low angle first:
| 2θ/deg | I_rel | hkl |
| --- | --- | --- |
| 13.90 | 100 | 0 1 1 |
| 14.51 | 35 | 0 0 2 |
| 19.04 | 31 | 1 0 2 |
| 27.86 | 34 | 1 1 3 |
| 28.44 | 36 | 2 1 1 |
| 30.68 | 38 | 1 2 2 |

(3)
AlO2: calculated PXRD pattern (Cu Ka), based on a PBE-relaxed structure.
Lines closer than 0.1° are merged.

Structural model:
Unit cell a=6.925 b=3.547 c=4.997 alpha=90.00 beta=90.00 gamma=90.00
Space group Pnma (No. 62)
Asymmetric unit:
1 Al 0.250 0.250 0.145 (multiplicity 4)
2 O 0.000 0.250 0.248 (multiplicity 4)
3 O 0.250 0.250 0.776 (multiplicity 4)

Top 6 peaks for 5° ≤ 2θ ≤ 70°, low angle first:
| 2θ/deg | I_rel | hkl |
| --- | --- | --- |
| 25.73 | 100 | 2 0 0 |
| 30.92 | 77 | 0 1 1 |
| 33.58 | 99 | 1 1 1 |
| 35.95 | 81 | 0 0 2 |
| 51.53 | 59 | 0 2 0 |
| 52.88 | 54 | 4 0 0 |

(4)
CrWN2: calculated PXRD pattern (Cu Ka), based on a PBE-relaxed structure.
Lines closer than 0.1° are merged.

Structural model:
Unit cell a=2.8569 b=2.8569 c=15.9886 alpha=90.00 beta=90.00 gamma=120.00
Space group R3m (No. 160, hexagonal axes)
Asymmetric unit:
1 Cr 0.0000 0.0000 0.0000 (multiplicity 3)
2 W 0.0000 0.0000 0.1663 (multiplicity 3)
3 N 0.0000 0.0000 0.4153 (multiplicity 3)
4 N 0.0000 0.0000 0.5849 (multiplicity 3)

Top 6 peaks for 5° ≤ 2θ ≤ 70°, low angle first:
| 2θ/deg | I_rel | hkl |
| --- | --- | --- |
| 16.63 | 90 | 0 0 3 |
| 33.63 | 46 | 0 0 6 |
| 36.76 | 100 | 1 0 1 |
| 38.07 | 58 | 0 1 2 |
| 42.99 | 45 | 1 0 4 |
| 46.40 | 68 | 0 1 5 |

(5)
ZrHg3S2Cl6: calculated PXRD pattern (Cu Ka), based on a PBE-relaxed structure.
Lines closer than 0.1° are merged.

Structural model:
Unit cell a=6.784 b=7.545 c=13.284 alpha=90.00 beta=91.47 gamma=90.00
Space group P2_1/c (No. 14)
Asymmetric unit:
1 Zr 0.000 0.000 0.000 (multiplicity 2)
2 Hg 0.492 0.205 0.240 (multiplicity 4)
3 Hg 0.500 0.000 0.500 (multiplicity 2)
4 S 0.347 0.539 0.832 (multiplicity 4)
5 Cl 0.133 0.213 0.564 (multiplicity 4)
6 Cl 0.148 0.049 0.833 (multiplicity 4)
7 Cl 0.313 0.647 0.559 (multiplicity 4)

Top 6 peaks for 5° ≤ 2θ ≤ 70°, low angle first:
| 2θ/deg | I_rel | hkl |
| --- | --- | --- |
| 13.05 | 100 | 1 0 0 |
| 18.70 | 42 | 1 1 -1 |
| 18.94 | 53 | 1 0 2 |
| 27.19 | 43 | 0 2 2 |
| 30.11 | 47 | 1 2 -2 |
| 38.43 | 48 | 2 2 2 |

(6)
BeCu: calculated PXRD pattern (Cu Ka), based on a PBE-relaxed structure.
Lines closer than 0.1° are merged.

Structural model:
Unit cell a=2.688 b=2.688 c=2.688 alpha=90.00 beta=90.00 gamma=90.00
Space group Pm-3m (No. 221)
Asymmetric unit:
1 Be 0.000 0.000 0.000 (multiplicity 1)
2 Cu 0.500 0.500 0.500 (multiplicity 1)

Top 4 peaks for 5° ≤ 2θ ≤ 70°, low angle first:
| 2θ/deg | I_rel | hkl |
| --- | --- | --- |
| 33.33 | 100 | 1 0 0 |
| 47.85 | 98 | 1 1 0 |
| 59.56 | 23 | 1 1 1 |
| 70.00 | 14 | 2 0 0 |